Computed powder diffraction line list of Li2VSi6O15 for copper Kα, from a DFT-relaxed cell (GGA+U, Alexandria).

Cell and atoms:
a b c (Å): 7.9815 14.7051 10.0608
angles (deg): 90.00 90.00 90.00
Space group Imma (No. 74)
Asymmetric unit:
Li  0.2500  0.0037  0.2500
V  0.0000  0.0000  0.0000
Si  0.0000  0.1482  0.2728
Si  0.1866  0.1454  0.5339
O  0.0000  0.0674  0.1664
O  0.0000  0.1249  0.5991
O  0.0000  0.2500  0.2088
O  0.1640  0.1345  0.3709
O  0.1787  0.0719  0.9133
O  0.2418  0.2500  0.5675

Principal peaks in the range 2θ from 10° to 90°, in order of rising 2θ:
- 2θ = 10.65°, d = 8.303 Å, rel. 555, hkl 0 1 1
- 2θ = 17.63°, d = 5.030 Å, rel. 497, hkl 0 0 2
- 2θ = 18.63°, d = 4.763 Å, rel. 1000, hkl 1 2 1
- 2θ = 24.21°, d = 3.676 Å, rel. 396, hkl 0 4 0
- 2θ = 24.75°, d = 3.597 Å, rel. 377, hkl 2 1 1
- 2θ = 27.28°, d = 3.270 Å, rel. 587, hkl 0 1 3
- 2θ = 28.16°, d = 3.169 Å, rel. 821, hkl 1 4 1
- 2θ = 28.55°, d = 3.126 Å, rel. 335, hkl 2 0 2
- 2θ = 31.08°, d = 2.877 Å, rel. 366, hkl 2 2 2
- 2θ = 37.77°, d = 2.382 Å, rel. 292, hkl 2 4 2